Theoretical powder X-ray diffraction pattern of Nd2DyY2Er for Cu Kα (λ = 1.5418 Å), from the PBE geometry in Alexandria.

Structure:
a b c (Å): 6.660 17.712 3.396
angles (deg): 90.00 90.00 90.00
Element x y z (fractional)
Nd 0.237 0.149 0.000
Nd 0.263 0.649 0.500
Nd 0.737 0.351 0.500
Nd 0.763 0.851 0.000
Dy 0.000 0.000 0.500
Dy 0.500 0.500 0.000
Y 0.241 0.322 0.500
Y 0.259 0.822 0.000
Y 0.741 0.178 0.000
Y 0.759 0.678 0.500
Er 0.000 0.500 0.500
Er 0.500 0.000 0.000

Largest 12 diffraction maxima, in order of rising 2θ, 10 to 90 degrees two-theta:
2θ (°)	I/Imax
26.73	23
28.64	69
29.53	23
30.31	100
31.24	43
33.22	17
33.68	60
35.95	33
40.92	39
42.80	17
64.25	22
65.17	18